(1)
Structure and calculated PXRD pattern of Al3Cu3Ni2 (a crystal structure in Alexandria, relaxed with PBE; Cu Kα (λ = 1.5418 Å)).
No peak broadening, texture or thermal motion is included.

Peak list (10 most intense, 2θ from 5° to 70°, in order of rising 2θ)
h k l  d (Å)  I_rel
1 0 2  2.987  12
-1 1 1  2.892  11
2 -1 1  2.080  51
0 1 3  2.074  100
2 2 2  2.070  51
2 1 -1  2.047  50
0 3 1  2.031  46
2 0 4  1.493  15
-2 2 2  1.446  14
2 4 0  1.437  13

Cell and atoms:
Cell: 5.071 6.415 6.630 Å, 78.96 73.74 75.42°
Space group P-1 (No. 2)
One atom of each set of equivalent atoms:
Al1 0.106 0.429 0.190 (multiplicity 2)
Al2 0.346 0.832 0.049 (multiplicity 2)
Al3 0.389 0.289 0.556 (multiplicity 2)
Cu1 0.119 0.698 0.427 (multiplicity 2)
Cu2 0.139 0.925 0.696 (multiplicity 2)
Cu3 0.401 0.543 0.815 (multiplicity 2)
Ni1 0.148 0.203 0.923 (multiplicity 2)
Ni2 0.360 0.067 0.302 (multiplicity 2)


(2)
Structure and calculated PXRD pattern of Al2CuNi3 (a crystal structure in Alexandria, relaxed with PBE; Cu Kα (λ = 1.5418 Å)).
No peak broadening, texture or thermal motion is included.

Peak list (10 most intense, 2θ from 5° to 70°, in order of rising 2θ)
h k l  d (Å)  I_rel
0 0 1  8.140  14
1 0 0  2.952  8
1 0 1  2.775  5
0 0 3  2.713  3
1 0 2  2.389  3
1 1 0  2.087  58
1 0 3  1.998  100
1 1 3  1.654  3
2 0 0  1.476  18
0 0 6  1.357  6

Cell and atoms:
Cell: 2.952 2.952 8.140 Å, 90.00 90.00 90.00°
Space group P4/mmm (No. 123)
One atom of each set of equivalent atoms:
Al1 0.000 0.000 0.174 (multiplicity 2)
Cu1 0.000 0.000 0.500 (multiplicity 1)
Ni1 0.500 0.500 0.000 (multiplicity 1)
Ni2 0.500 0.500 0.333 (multiplicity 2)


(3)
Structure and calculated PXRD pattern of Al3CuNi2 (a crystal structure in Alexandria, relaxed with PBE; Cu Kα (λ = 1.5418 Å)).
No peak broadening, texture or thermal motion is included.

Peak list (7 most intense, 2θ from 5° to 70°, in order of rising 2θ)
h k l  d (Å)  I_rel
0 0 3  2.965  13
1 0 0  2.901  24
1 0 3  2.074  100
1 1 0  2.052  49
1 1 3  1.687  9
0 0 6  1.483  8
2 0 0  1.451  15

Cell and atoms:
Cell: 2.901 2.901 8.896 Å, 90.00 90.00 90.00°
Space group P4/mmm (No. 123)
One atom of each set of equivalent atoms:
Al1 0.000 0.000 0.000 (multiplicity 1)
Al2 0.000 0.000 0.321 (multiplicity 2)
Cu1 0.500 0.500 0.500 (multiplicity 1)
Ni1 0.500 0.500 0.164 (multiplicity 2)


(4)
Structure and calculated PXRD pattern of AlCuNiPd (a crystal structure in Alexandria, relaxed with PBE; Cu Kα (λ = 1.5418 Å)).
No peak broadening, texture or thermal motion is included.

Peak list (10 most intense, 2θ from 5° to 70°, in order of rising 2θ)
h k l  d (Å)  I_rel
0 0 2  3.408  8
1 0 1  3.380  18
1 1 0  2.752  8
1 1 2  2.141  100
1 0 3  1.962  4
2 0 0  1.946  37
0 0 4  1.704  12
2 0 2  1.690  4
2 1 1  1.686  5
2 2 0  1.376  11

Cell and atoms:
Cell: 3.892 3.892 6.817 Å, 90.00 90.00 90.00°
Space group I-4m2 (No. 119)
One atom of each set of equivalent atoms:
Al1 0.000 0.000 0.000 (multiplicity 2)
Cu1 0.000 0.000 0.500 (multiplicity 2)
Ni1 0.000 0.500 0.250 (multiplicity 2)
Pd1 0.000 0.500 0.750 (multiplicity 2)


(5)
Structure and calculated PXRD pattern of Y2AlCu3Ni12 (a crystal structure in Alexandria, relaxed with PBE; Cu Kα (λ = 1.5418 Å)).
No peak broadening, texture or thermal motion is included.

Peak list (10 most intense, 2θ from 5° to 70°, in order of rising 2θ)
h k l  d (Å)  I_rel
1 1 3  2.791  100
0 2 1  2.541  60
2 0 2  2.506  59
0 2 4  2.377  97
1 0 10  2.315  95
0 1 11  2.143  56
2 0 8  2.007  90
1 2 2  1.909  89
0 2 10  1.821  54
2 2 0  1.474  65

Cell and atoms:
Cell: 5.8976 5.8976 25.9763 Å, 90.00 90.00 120.00°
Space group R-3m (No. 166, hexagonal axes)
One atom of each set of equivalent atoms:
Y1 0.0000 0.0000 0.1493 (multiplicity 6)
Al1 0.0000 0.0000 0.5000 (multiplicity 3)
Cu1 0.0000 0.5000 0.0000 (multiplicity 9)
Ni1 0.0467 0.5234 0.0967 (multiplicity 18)
Ni2 0.0727 0.5364 0.6158 (multiplicity 18)


(6)
Structure and calculated PXRD pattern of AlZnCuNi (a crystal structure in Alexandria, relaxed with PBE; Cu Kα (λ = 1.5418 Å)).
No peak broadening, texture or thermal motion is included.

Peak list (10 most intense, 2θ from 5° to 70°, in order of rising 2θ)
h k l  d (Å)  I_rel
0 0 1  5.905  10
0 0 2  2.952  2
1 0 0  2.924  3
1 0 1  2.620  10
1 0 2  2.077  100
1 1 0  2.067  50
1 1 1  1.951  2
0 0 4  1.476  8
2 0 0  1.462  15
1 1 3  1.425  2

Cell and atoms:
Cell: 2.924 2.924 5.905 Å, 90.00 90.00 90.00°
Space group P4mm (No. 99)
One atom of each set of equivalent atoms:
Al1 0.000 0.000 0.000 (multiplicity 1)
Zn1 0.000 0.000 0.480 (multiplicity 1)
Cu1 0.500 0.500 0.739 (multiplicity 1)
Ni1 0.500 0.500 0.227 (multiplicity 1)


(7)
Structure and calculated PXRD pattern of Np2Al12Cu7 (a crystal structure in Alexandria, relaxed with PBE; Cu Kα (λ = 1.5418 Å)).
No peak broadening, texture or thermal motion is included.

Peak list (10 most intense, 2θ from 5° to 70°, in order of rising 2θ)
h k l  d (Å)  I_rel
1 0 0  8.657  40
1 1 0  4.998  37
1 0 1  3.592  20
0 2 1  2.917  49
3 0 0  2.886  28
2 1 1  2.519  100
2 2 0  2.499  19
4 -3 1  2.051  19
1 4 0  1.889  34
3 2 1  1.774  25

Cell and atoms:
Cell: 9.9966 9.9966 3.9479 Å, 90.00 90.00 120.00°
Space group P-3 (No. 147)
One atom of each set of equivalent atoms:
Np1 0.3333 0.6667 0.2590 (multiplicity 2)
Al1 0.0528 0.4359 0.7507 (multiplicity 6)
Al2 0.1176 0.2673 0.2542 (multiplicity 6)
Cu1 0.0000 0.0000 0.5000 (multiplicity 1)
Cu2 0.1186 0.7083 0.7559 (multiplicity 6)


(8)
Structure and calculated PXRD pattern of AlCu3O6 (a crystal structure in Alexandria, relaxed with PBE; Cu Kα (λ = 1.5418 Å)).
No peak broadening, texture or thermal motion is included.

Peak list (10 most intense, 2θ from 5° to 70°, in order of rising 2θ)
h k l  d (Å)  I_rel
0 2 0  5.935  100
0 1 1  5.309  40
0 3 1  3.292  56
0 1 2  2.879  36
1 1 0  2.840  43
0 3 2  2.374  33
1 3 0  2.352  40
1 0 -2  2.102  53
1 0 2  2.065  57
0 6 0  1.979  66

Cell and atoms:
Cell: 2.926 11.870 5.936 Å, 90.00 91.01 90.00°
Space group P2_1 (No. 4)
One atom of each set of equivalent atoms:
Al1 0.216 0.000 0.348 (multiplicity 2)
Cu1 0.222 0.678 0.385 (multiplicity 2)
Cu2 0.242 0.668 0.902 (multiplicity 2)
Cu3 0.275 0.355 0.318 (multiplicity 2)
O1 0.154 0.162 0.356 (multiplicity 2)
O2 0.220 0.847 0.458 (multiplicity 2)
O3 0.230 0.828 0.883 (multiplicity 2)
O4 0.278 0.519 0.427 (multiplicity 2)
O5 0.290 0.509 0.852 (multiplicity 2)
O6 0.371 0.184 0.848 (multiplicity 2)


(9)
Structure and calculated PXRD pattern of Pm3Al2CuO9 (a crystal structure in Alexandria, relaxed with PBE; Cu Kα (λ = 1.5418 Å)).
No peak broadening, texture or thermal motion is included.

Peak list (10 most intense, 2θ from 5° to 70°, in order of rising 2θ)
h k l  d (Å)  I_rel
0 0 1  6.563  1
1 0 0  4.639  1
1 0 1  3.788  32
1 1 0  2.679  100
1 1 1  2.480  1
0 2 1  2.187  30
1 1 2  2.075  1
2 0 2  1.894  33
2 1 1  1.694  15
3 0 0  1.546  39

Cell and atoms:
Cell: 5.3563 5.3563 6.5632 Å, 90.00 90.00 120.00°
Space group P-3m1 (No. 164)
One atom of each set of equivalent atoms:
Pm1 0.0000 0.0000 0.0000 (multiplicity 1)
Pm2 0.3333 0.6667 0.6571 (multiplicity 2)
Al1 0.3333 0.6667 0.1578 (multiplicity 2)
Cu1 0.0000 0.0000 0.5000 (multiplicity 1)
O1 0.0000 0.5000 0.0000 (multiplicity 3)
O2 0.1705 0.3411 0.3290 (multiplicity 6)


(10)
Structure and calculated PXRD pattern of AlCuRuO6 (a crystal structure in Alexandria, relaxed with PBE; Cu Kα (λ = 1.5418 Å)).
No peak broadening, texture or thermal motion is included.

Peak list (10 most intense, 2θ from 5° to 70°, in order of rising 2θ)
h k l  d (Å)  I_rel
0 0 2  4.322  11
1 0 1  3.825  42
1 0 2  3.036  100
1 1 0  2.463  35
1 0 3  2.388  12
1 1 2  2.140  20
2 0 2  1.913  25
1 1 4  1.624  47
2 1 2  1.511  23
3 0 0  1.422  19

Cell and atoms:
Cell: 4.9257 4.9257 8.6449 Å, 90.00 90.00 120.00°
Space group P-31c (No. 163)
One atom of each set of equivalent atoms:
Al1 0.3333 0.6667 0.2500 (multiplicity 2)
Cu1 0.0000 0.0000 0.0000 (multiplicity 2)
Ru1 0.3333 0.6667 0.7500 (multiplicity 2)
O1 0.0033 0.3535 0.1301 (multiplicity 12)


(11)
Structure and calculated PXRD pattern of Al4Cu13Si2Sb2O28 (a crystal structure in Alexandria, relaxed with PBE; Cu Kα (λ = 1.5418 Å)).
No peak broadening, texture or thermal motion is included.

Peak list (10 most intense, 2θ from 5° to 70°, in order of rising 2θ)
h k l  d (Å)  I_rel
0 2 0  4.186  34
1 0 -3  2.919  50
0 3 0  2.791  100
1 0 4  2.773  32
-1 1 3  2.714  69
2 1 1  2.679  67
1 -1 4  2.549  53
2 -1 1  2.450  66
1 2 4  2.439  68
0 0 7  1.677  36

Cell and atoms:
Cell: 5.438 8.479 11.934 Å, 86.27 79.80 81.20°
Space group P-1 (No. 2)
One atom of each set of equivalent atoms:
Al1 0.010 0.176 0.070 (multiplicity 2)
Al2 0.424 0.844 0.072 (multiplicity 2)
Cu1 0.083 0.497 0.352 (multiplicity 2)
Cu2 0.106 0.143 0.785 (multiplicity 2)
Cu3 0.164 0.866 0.642 (multiplicity 2)
Cu4 0.224 0.501 0.080 (multiplicity 2)
Cu5 0.330 0.851 0.356 (multiplicity 2)
Cu6 0.442 0.133 0.208 (multiplicity 2)
Cu7 0.500 0.500 0.500 (multiplicity 1)
Si1 0.289 0.183 0.491 (multiplicity 2)
Sb1 0.343 0.502 0.782 (multiplicity 2)
O1 0.067 0.372 0.770 (multiplicity 2)
O2 0.075 0.610 0.914 (multiplicity 2)
O3 0.106 0.854 0.055 (multiplicity 2)
O4 0.129 0.111 0.610 (multiplicity 2)
O5 0.141 0.910 0.802 (multiplicity 2)
O6 0.181 0.633 0.661 (multiplicity 2)
O7 0.216 0.380 0.482 (multiplicity 2)
O8 0.242 0.102 0.375 (multiplicity 2)
O9 0.343 0.121 0.048 (multiplicity 2)
O10 0.393 0.612 0.347 (multiplicity 2)
O11 0.399 0.361 0.202 (multiplicity 2)
O12 0.405 0.843 0.505 (multiplicity 2)
O13 0.479 0.902 0.204 (multiplicity 2)
O14 0.495 0.375 0.910 (multiplicity 2)